This entry pairs a crystal structure of CuNF5 with its theoretical powder XRD pattern. Radiation: CuKα. Structure: a crystal structure in Alexandria, relaxed with GGA-PBE.
Neutral-atom scattering factors, no anomalous dispersion.

The 6 most intense peaks (2θ = 5–70°), in order of falling intensity:
| h k l | 2θ (°) | Rel. int. |
| --- | --- | --- |
| 2 0 0 | 22.66 | 100 |
| 1 1 0 | 16.81 | 52 |
| 1 1 -2 | 28.01 | 42 |
| 3 1 0 | 36.59 | 35 |
| 3 1 -2 | 29.67 | 29 |
| 0 2 0 | 25.00 | 25 |

Structural model:
```
data_CuNF5
_chemical_formula_sum 'Cu4 N4 F20'
_space_group_name_H-M_alt 'C 1 2/c 1'
_space_group_IT_number 15
_cell_length_a 10.5014
_cell_length_b 7.1238
_cell_length_c 7.6727
_cell_angle_alpha 90.00
_cell_angle_beta 131.64
_cell_angle_gamma 90.00
loop_
_space_group_symop_operation_xyz
'x,y,z'
'-x,-y,-z'
'-x,y,-z+1/2'
'x,-y,z+1/2'
'x+1/2,y+1/2,z'
'-x+1/2,-y+1/2,-z'
'-x+1/2,y+1/2,-z+1/2'
'x+1/2,-y+1/2,z+1/2'
loop_
_atom_site_label
_atom_site_fract_x
_atom_site_fract_y
_atom_site_fract_z
Cu1 0.0000 0.0000 0.0000
N1 0.0000 0.3440 0.2500
F1 0.0000 0.0182 0.7500
F2 0.9999 0.2620 0.0013
F3 0.1352 0.4622 0.3732
```